1.
Structure and calculated X-ray diffraction stick pattern of Li4Fe5CoO12 (a structure optimized by DFT (PBE+U); a wavelength of 1.5418 Å).
Lines closer than 0.1° are merged.

Crystal structure
a = 4.9202 Å, b = 4.9205 Å, c = 10.1695 Å
α = 88.96°, β = 89.51°, γ = 60.12°
Fractional coordinates of all 22 atoms:
Li: 0.0000 0.0000 0.0000
Li: 0.0019 0.1986 0.4969
Li: 0.0048 0.4978 0.9996
Li: 0.9945 0.7017 0.4985
Fe: 0.1720 0.5158 0.2491
Fe: 0.1735 0.0155 0.7492
Fe: 0.5011 0.3530 0.7485
Fe: 0.8238 0.1906 0.2485
Fe: 0.8331 0.6856 0.7492
Co: 0.4976 0.8532 0.2488
O: 0.1460 0.3604 0.6419
O: 0.1473 0.6969 0.8565
O: 0.1580 0.8558 0.3501
O: 0.1595 0.1884 0.1478
O: 0.4967 0.5248 0.1523
O: 0.4983 0.1825 0.3448
O: 0.5033 0.0175 0.8458
O: 0.5031 0.6865 0.6515
O: 0.8365 0.5171 0.3494
O: 0.8377 0.8498 0.1484
O: 0.8592 0.3402 0.8556
O: 0.8601 0.0032 0.6427

Principal peaks in the range 2θ from 10° to 90°, most intense first:
d = 5.084 Å, rel. 100
d = 1.984 Å, rel. 15
d = 2.001 Å, rel. 14
d = 2.398 Å, rel. 14
d = 2.388 Å, rel. 13
d = 2.229 Å, rel. 9
d = 1.561 Å, rel. 8
d = 1.575 Å, rel. 8
d = 2.199 Å, rel. 7
d = 1.784 Å, rel. 7

2.
Structure and calculated X-ray diffraction stick pattern of Li3Mn5O10 (a structure optimized by DFT (PBE+U); a wavelength of 1.5418 Å).
Lines closer than 0.1° are merged.

Crystal structure
a = 5.1637 Å, b = 5.2593 Å, c = 7.6681 Å
α = 70.96°, β = 71.17°, γ = 79.40°
Fractional coordinates of all 18 atoms:
Li: 0.0000 0.0000 0.0000
Li: 0.4992 0.7175 0.0767
Li: 0.5008 0.2825 0.9233
Mn: 0.0025 0.3901 0.1963
Mn: 0.0219 0.1916 0.6016
Mn: 0.5000 0.5000 0.5000
Mn: 0.9781 0.8084 0.3984
Mn: 0.9975 0.6099 0.8037
O: 0.1903 0.0493 0.1661
O: 0.2199 0.6071 0.9670
O: 0.2233 0.4333 0.3538
O: 0.2253 0.8116 0.5511
O: 0.2413 0.2933 0.7346
O: 0.7587 0.7067 0.2654
O: 0.7747 0.1884 0.4489
O: 0.7767 0.5667 0.6462
O: 0.7801 0.3929 0.0330
O: 0.8097 0.9507 0.8339

Principal peaks in the range 2θ from 10° to 90°, most intense first:
d = 4.868 Å, rel. 100
d = 6.953 Å, rel. 59
d = 2.113 Å, rel. 52
d = 2.107 Å, rel. 50
d = 2.081 Å, rel. 48
d = 4.952 Å, rel. 41
d = 3.984 Å, rel. 24
d = 3.002 Å, rel. 20
d = 3.305 Å, rel. 18
d = 2.488 Å, rel. 17

3.
Structure and calculated X-ray diffraction stick pattern of MgFe3O3F3 (a structure optimized by DFT (PBE+U); a wavelength of 1.5418 Å).
Lines closer than 0.1° are merged.

Crystal structure
a = 5.4138 Å, b = 5.4364 Å, c = 5.9244 Å
α = 117.04°, β = 90.43°, γ = 119.61°
Fractional coordinates of all 10 atoms:
Mg: 0.0000 0.0000 0.0000
Fe: 0.2310 0.4553 0.6843
Fe: 0.6125 0.2280 0.8362
Fe: 0.8185 0.6403 0.4621
O: 0.1926 0.0873 0.7021
O: 0.6137 0.8039 0.7028
O: 0.9048 0.5162 0.7044
F: 0.4180 0.2084 0.1988
F: 0.7859 0.7689 0.1893
F: 0.9780 0.4015 0.1831

Principal peaks in the range 2θ from 10° to 90°, most intense first:
d = 2.548 Å, rel. 100
d = 4.494 Å, rel. 76
d = 5.034 Å, rel. 73
d = 2.399 Å, rel. 65
d = 1.858 Å, rel. 64
d = 4.008 Å, rel. 57
d = 2.728 Å, rel. 49
d = 2.718 Å, rel. 48
d = 2.530 Å, rel. 47
d = 2.707 Å, rel. 45

4.
Structure and calculated X-ray diffraction stick pattern of Mn3OF5 (a structure optimized by DFT (PBE+U); a wavelength of 1.5418 Å).
Lines closer than 0.1° are merged.

Crystal structure
a = 5.9122 Å, b = 5.9122 Å, c = 7.5395 Å
α = 106.94°, β = 106.94°, γ = 74.27°
Fractional coordinates of all 18 atoms:
Mn: 0.0000 0.0000 0.0000
Mn: 0.0000 0.0000 0.5000
Mn: 0.3422 0.3422 0.3208
Mn: 0.3491 0.3491 0.8442
Mn: 0.6509 0.6509 0.1558
Mn: 0.6578 0.6578 0.6792
O: 0.4381 0.4381 0.1204
O: 0.5619 0.5619 0.8796
F: 0.0243 0.6429 0.8255
F: 0.1224 0.1224 0.8064
F: 0.2487 0.2487 0.5516
F: 0.2981 0.7019 0.5000
F: 0.3571 0.9757 0.1745
F: 0.6429 0.0243 0.8255
F: 0.7019 0.2981 0.5000
F: 0.7513 0.7513 0.4484
F: 0.8776 0.8776 0.1936
F: 0.9757 0.3571 0.1745

Principal peaks in the range 2θ from 10° to 90°, most intense first:
d = 3.569 Å, rel. 100
d = 3.416 Å, rel. 95
d = 1.844 Å, rel. 65
d = 2.696 Å, rel. 45
d = 2.706 Å, rel. 45
d = 1.796 Å, rel. 29
d = 1.805 Å, rel. 27
d = 1.463 Å, rel. 24
d = 1.468 Å, rel. 23
d = 2.394 Å, rel. 20

5.
Structure and calculated X-ray diffraction stick pattern of CaMnV4Cu2O12 (a structure optimized by DFT (PBE+U); a wavelength of 1.5418 Å).
Lines closer than 0.1° are merged.

Crystal structure
a = 6.4381 Å, b = 6.4381 Å, c = 6.4381 Å
α = 110.51°, β = 108.98°, γ = 108.93°
Fractional coordinates of all 20 atoms:
Ca: 0.0000 0.0000 0.0000
Mn: 0.5000 0.0000 0.5000
V: 0.0000 0.0000 0.5000
V: 0.0000 0.5000 0.0000
V: 0.5000 0.0000 0.0000
V: 0.5000 0.5000 0.5000
Cu: 0.0000 0.5000 0.5000
Cu: 0.5000 0.5000 0.0000
O: 0.1180 0.2980 0.8200
O: 0.1831 0.4879 0.3048
O: 0.1831 0.8783 0.6952
O: 0.3059 0.1762 0.4821
O: 0.3059 0.8238 0.1297
O: 0.4780 0.2980 0.1800
O: 0.5220 0.7020 0.8200
O: 0.6941 0.1762 0.8703
O: 0.6941 0.8238 0.5179
O: 0.8169 0.1217 0.3048
O: 0.8169 0.5121 0.6952
O: 0.8820 0.7020 0.1800

Principal peaks in the range 2θ from 10° to 90°, most intense first:
d = 2.619 Å, rel. 100
d = 2.645 Å, rel. 52
d = 1.522 Å, rel. 50
d = 1.870 Å, rel. 31
d = 1.508 Å, rel. 25
d = 1.835 Å, rel. 14
d = 1.310 Å, rel. 13
d = 1.183 Å, rel. 8
d = 1.181 Å, rel. 8
d = 1.163 Å, rel. 7

6.
Structure and calculated X-ray diffraction stick pattern of Mn2SiP4O14 (a structure optimized by DFT (PBE+U); a wavelength of 1.5418 Å).
Lines closer than 0.1° are merged.

Crystal structure
a = 9.0468 Å, b = 9.0468 Å, c = 12.5624 Å
α = 102.58°, β = 102.58°, γ = 33.23°
Fractional coordinates of all 42 atoms:
Mn: 0.0895 0.4032 0.1312
Mn: 0.4032 0.0895 0.6312
Mn: 0.5968 0.9105 0.3688
Mn: 0.9105 0.5968 0.8688
Si: 0.1402 0.8598 0.2500
Si: 0.8598 0.1402 0.7500
P: 0.0287 0.7043 0.5834
P: 0.2267 0.5271 0.3655
P: 0.2957 0.9713 0.9166
P: 0.4729 0.7733 0.1345
P: 0.5271 0.2267 0.8655
P: 0.7043 0.0287 0.0834
P: 0.7733 0.4729 0.6345
P: 0.9713 0.2957 0.4166
O: 0.0020 0.3774 0.7025
O: 0.0199 0.1031 0.3322
O: 0.1031 0.0199 0.8322
O: 0.1192 0.6972 0.4824
O: 0.1625 0.2334 0.9533
O: 0.2276 0.4904 0.8789
O: 0.2334 0.1625 0.4533
O: 0.2606 0.4283 0.6269
O: 0.2854 0.6247 0.3203
O: 0.3028 0.8808 0.0176
O: 0.3753 0.7146 0.1797
O: 0.3774 0.0020 0.2025
O: 0.4283 0.2606 0.1269
O: 0.4904 0.2276 0.3789
O: 0.5096 0.7724 0.6211
O: 0.5717 0.7394 0.8731
O: 0.6226 0.9980 0.7975
O: 0.6247 0.2854 0.8203
O: 0.6972 0.1192 0.9824
O: 0.7146 0.3753 0.6797
O: 0.7394 0.5717 0.3731
O: 0.7666 0.8375 0.5467
O: 0.7724 0.5096 0.1211
O: 0.8375 0.7666 0.0467
O: 0.8808 0.3028 0.5176
O: 0.8969 0.9801 0.1678
O: 0.9801 0.8969 0.6678
O: 0.9980 0.6226 0.2975

Principal peaks in the range 2θ from 10° to 90°, most intense first:
d = 3.485 Å, rel. 100
d = 8.443 Å, rel. 47
d = 3.806 Å, rel. 27
d = 3.058 Å, rel. 22
d = 3.027 Å, rel. 22
d = 2.687 Å, rel. 17
d = 4.486 Å, rel. 17
d = 2.878 Å, rel. 15
d = 1.928 Å, rel. 11
d = 2.528 Å, rel. 11